1.
Simulated PXRD pattern
Compound: InAg6Sb
Radiation: copper Kα
Structure: a DFT-relaxed cell (GGA-PBE, Alexandria)

Cell and atoms:
```
InAg6Sb
1.0
4.266 0.000 0.000
0.000 4.266 0.000
0.000 0.000 8.544
In Ag Sb
1 6 1
direct
0.000 0.000 0.000
0.000 0.500 0.246
0.000 0.500 0.754
0.500 0.000 0.246
0.500 0.000 0.754
0.500 0.500 0.000
0.500 0.500 0.500
0.000 0.000 0.500
```

Main lines, low angle first (5° ≤ 2θ ≤ 70°):
- 2θ 36.46, rel. 100
- 2θ 42.35, rel. 49
- 2θ 61.44, rel. 31



2.
Simulated PXRD pattern
Compound: LiU5S8
Radiation: copper Kα
Structure: a DFT-relaxed cell (GGA-PBE, Alexandria)

Cell and atoms:
```
LiU5S8
1.0
-4.086 4.086 4.168
4.086 -4.086 4.168
4.086 4.086 -4.168
Li U S
1 5 8
direct
0.000 0.000 0.000
0.117 0.246 0.624
0.250 0.750 0.500
0.507 0.883 0.129
0.622 0.493 0.376
0.754 0.378 0.871
0.032 0.639 0.755
0.233 0.488 0.100
0.361 0.116 0.393
0.388 0.133 0.900
0.512 0.612 0.745
0.723 0.968 0.607
0.867 0.767 0.255
0.884 0.277 0.245
```

Main lines, low angle first (5° ≤ 2θ ≤ 70°):
- 2θ 15.18, rel. 25
- 2θ 26.37, rel. 51
- 2θ 26.63, rel. 100
- 2θ 30.64, rel. 18
- 2θ 34.08, rel. 31
- 2θ 34.69, rel. 79
- 2θ 40.79, rel. 37
- 2θ 41.28, rel. 29
- 2θ 49.70, rel. 24
- 2θ 52.07, rel. 23



3.
Simulated PXRD pattern
Compound: La3SmSn2S
Radiation: copper Kα
Structure: a DFT-relaxed cell (GGA-PBE, Alexandria)

Cell and atoms:
```
La3SmSn2S
1.0
5.246 0.000 0.000
0.000 5.333 0.000
0.000 0.000 16.835
La Sm Sn S
6 2 4 2
direct
0.000 0.000 0.000
0.000 0.500 0.172
0.000 0.500 0.828
0.500 0.000 0.328
0.500 0.000 0.672
0.500 0.500 0.500
0.000 0.000 0.500
0.500 0.500 0.000
0.000 0.500 0.367
0.000 0.500 0.633
0.500 0.000 0.133
0.500 0.000 0.867
0.000 0.500 0.000
0.500 0.000 0.500
```

Main lines, low angle first (5° ≤ 2θ ≤ 70°):
- 2θ 10.51, rel. 21
- 2θ 23.79, rel. 21
- 2θ 26.07, rel. 87
- 2θ 31.90, rel. 31
- 2θ 32.02, rel. 100
- 2θ 33.61, rel. 43
- 2θ 34.19, rel. 41
- 2θ 47.05, rel. 32
- 2θ 48.70, rel. 30
- 2θ 59.40, rel. 21



4.
Simulated PXRD pattern
Compound: Mg4AgPt3
Radiation: copper Kα
Structure: a DFT-relaxed cell (GGA-PBE, Alexandria)

Cell and atoms:
```
Mg4AgPt3
1.0
2.269 1.310 7.389
-2.269 1.310 7.389
0.000 -2.620 7.389
Mg Ag Pt
4 1 3
direct
0.122 0.122 0.122
0.372 0.372 0.372
0.628 0.628 0.628
0.878 0.878 0.878
0.500 0.500 0.500
0.000 0.000 0.000
0.249 0.249 0.249
0.751 0.751 0.751
```

Main lines, low angle first (5° ≤ 2θ ≤ 70°):
- 2θ 11.98, rel. 2
- 2θ 22.98, rel. 2
- 2θ 24.04, rel. 2
- 2θ 27.83, rel. 70
- 2θ 39.77, rel. 100
- 2θ 49.20, rel. 15
- 2θ 49.33, rel. 5
- 2θ 57.50, rel. 17
- 2θ 65.00, rel. 13
- 2θ 65.12, rel. 13



5.
Simulated PXRD pattern
Compound: Li3Si2Ag4
Radiation: copper Kα
Structure: a DFT-relaxed cell (GGA-PBE, Alexandria)

Cell and atoms:
```
Li3Si2Ag4
1.0
4.442 0.000 0.000
-2.221 3.847 0.000
0.000 0.000 8.146
Li Si Ag
3 2 4
direct
0.000 0.000 0.000
0.333 0.667 0.564
0.667 0.333 0.436
0.333 0.667 0.232
0.667 0.333 0.768
0.000 0.000 0.324
0.000 0.000 0.676
0.333 0.667 0.898
0.667 0.333 0.102
```

Main lines, low angle first (5° ≤ 2θ ≤ 70°):
- 2θ 10.86, rel. 10
- 2θ 23.12, rel. 6
- 2θ 25.61, rel. 50
- 2θ 32.00, rel. 34
- 2θ 40.64, rel. 100
- 2θ 48.64, rel. 8
- 2θ 52.62, rel. 8
- 2θ 58.83, rel. 16
- 2θ 65.17, rel. 7
- 2θ 68.52, rel. 7



6.
Simulated PXRD pattern
Compound: La2HoScTl2
Radiation: copper Kα
Structure: a DFT-relaxed cell (GGA-PBE, Alexandria)

Cell and atoms:
```
La2HoScTl2
1.0
4.983 0.000 0.000
0.000 10.051 0.000
0.000 0.000 7.015
La Ho Sc Tl
4 2 2 4
direct
0.000 0.063 0.000
0.000 0.937 0.500
0.500 0.176 0.232
0.500 0.824 0.732
0.500 0.458 0.884
0.500 0.542 0.384
0.000 0.307 0.583
0.000 0.693 0.083
0.000 0.398 0.156
0.000 0.602 0.656
0.500 0.161 0.709
0.500 0.839 0.209
```

Main lines, low angle first (5° ≤ 2θ ≤ 70°):
- 2θ 23.62, rel. 23
- 2θ 28.25, rel. 16
- 2θ 29.55, rel. 26
- 2θ 31.16, rel. 60
- 2θ 32.20, rel. 70
- 2θ 32.46, rel. 100
- 2θ 34.71, rel. 35
- 2θ 36.05, rel. 72
- 2θ 42.65, rel. 16
- 2θ 62.58, rel. 20